This entry pairs a crystal structure of Cu2AgHS2O10 with its simulated XRD peak list. Radiation: CuKα. Structure: the PBE geometry in Alexandria.

Peak list (12 most intense, 15° ≤ 2θ ≤ 90°, sorted by position)
(1 1 -1), 2θ = 18.81°, 4.717 Å, I = 66; (2 0 -1), 2θ = 20.58°, 4.316 Å, I = 42; (2 0 -2), 2θ = 23.97°, 3.712 Å, I = 19; (0 0 2), 2θ = 24.09°, 3.694 Å, I = 25; (1 1 -2), 2θ = 25.49°, 3.495 Å, I = 80; (2 0 1), 2θ = 31.72°, 2.821 Å, I = 100; (3 1 -1), 2θ = 34.95°, 2.567 Å, I = 27; (1 1 2), 2θ = 35.22°, 2.548 Å, I = 26; (2 2 0), 2θ = 38.04°, 2.366 Å, I = 19; (2 2 -2), 2θ = 38.16°, 2.358 Å, I = 37; (4 2 -3), 2θ = 53.54°, 1.712 Å, I = 29; (4 2 1), 2θ = 64.81°, 1.439 Å, I = 20

Structural model:
Cell lengths 8.633, 6.107, 8.523 Å; angles 90.00, 119.91, 90.00 degrees
Space group C2/m (No. 12)
Inequivalent atoms, fractional coordinates:
Cu  0.250  0.250  0.000 [4 per cell]
Ag  0.000  0.000  0.500 [2 per cell]
H  0.000  0.000  0.000 [2 per cell]
S  0.078  0.500  0.275 [4 per cell]
O  0.038  0.296  0.765 [8 per cell]
O  0.155  0.000  0.041 [4 per cell]
O  0.165  0.500  0.164 [4 per cell]
O  0.208  0.500  0.469 [4 per cell]